Starting from a GGA-PBE-relaxed structure, the powder X-ray diffraction pattern of DyGa5Co2 was computed for copper Kα.

Most intense lines, 2θ from 5° to 70°, in order of falling intensity:
- 2θ 35.87, rel. 100
- 2θ 36.20, rel. 84
- 2θ 45.60, rel. 63
- 2θ 46.84, rel. 35
- 2θ 67.46, rel. 29
- 2θ 32.24, rel. 29
- 2θ 49.46, rel. 25
- 2θ 30.51, rel. 24
- 2θ 31.64, rel. 19
- 2θ 59.57, rel. 16

Crystal structure
```
data_DyGa5Co2
_chemical_formula_sum 'Dy2 Ga10 Co4'
_cell_length_a 3.879
_cell_length_b 6.967
_cell_length_c 9.688
_cell_angle_alpha 90.00
_cell_angle_beta 90.00
_cell_angle_gamma 90.00
_symmetry_space_group_name_H-M 'I m m m'
_symmetry_Int_Tables_number 71
_symmetry_space_group_name_Hall '-I 2 2'
loop_
_atom_site_label
_atom_site_fract_x
_atom_site_fract_y
_atom_site_fract_z
Dy1 0.000 0.000 0.000
Ga1 0.000 0.197 0.345
Ga2 0.000 0.500 0.000
Co1 0.000 0.500 0.238
```